Starting from the GGA-PBE geometry in Alexandria, the powder X-ray diffraction pattern of Sm5Zn2 was simulated for λ = 1.5418 Å (Cu Kα).
Neutral-atom scattering factors, no anomalous dispersion.

Largest 10 diffraction maxima, in order of falling intensity, 10° ≤ 2θ ≤ 90°:
2θ (°)	I/Imax
29.79	100
30.13	71
35.94	60
32.59	56
36.23	47
29.81	45
34.21	43
34.95	37
41.86	28
28.68	27

Structural model:
a b c (Å): 8.9104 8.9104 6.6193
angles (deg): 92.54 92.54 49.76
Sites, in units of the cell vectors:
Sm 0.0218 0.9782 0.7500
Sm 0.1581 0.3027 0.7536
Sm 0.2772 0.5486 0.4779
Sm 0.3027 0.1581 0.2536
Sm 0.4514 0.7228 0.0221
Sm 0.5486 0.2772 0.9779
Sm 0.6973 0.8419 0.7464
Sm 0.7228 0.4514 0.5221
Sm 0.8419 0.6973 0.2464
Sm 0.9782 0.0218 0.2500
Zn 0.1354 0.6373 0.9784
Zn 0.3627 0.8646 0.5216
Zn 0.6373 0.1354 0.4784
Zn 0.8646 0.3627 0.0216